1.
The following is a calculated powder XRD pattern of HfSiRu. It was derived from a structure optimized by DFT (PBE), using λ = 1.5418 Å (Cu Kα).

Most intense lines, 15° ≤ 2θ ≤ 90°, sorted by position:
2θ 26.8, rel. 16.8, (0 3 1); 2θ 28.8, rel. 20.0, (2 2 0); 2θ 36.4, rel. 100.0, (2 3 1); 2θ 39.7, rel. 71.6, (2 2 2); 2θ 41.4, rel. 19.5, (0 1 3); 2θ 41.5, rel. 35.1, (0 5 1); 2θ 49.5, rel. 18.8, (4 0 0); 2θ 66.4, rel. 15.5, (4 1 3)

abc: 7.370 11.496 6.671
angles: 90.00 90.00 90.00
Space group Ima2 (No. 46)
Unique sites:
Hf 0.250 0.003 0.000
Hf 0.250 0.219 0.643
Hf 0.250 0.698 0.120
Si 0.005 0.667 0.421
Si 0.250 0.024 0.411
Ru 0.000 0.000 0.665
Ru 0.026 0.624 0.795


2.
The following is a calculated powder XRD pattern of SmHfRu. It was derived from a structure optimized by DFT (PBE), using λ = 1.5418 Å (Cu Kα).

Most intense lines, 15° ≤ 2θ ≤ 90°, sorted by position:
2θ 31.4, rel. 82.0, (1 1 -3); 2θ 31.7, rel. 100.0, (1 1 3); 2θ 32.2, rel. 56.1, (2 1 0); 2θ 34.4, rel. 50.9, (0 1 4); 2θ 35.0, rel. 67.6, (2 1 -2); 2θ 39.0, rel. 49.1, (3 0 1); 2θ 40.0, rel. 90.5, (0 2 0); 2θ 40.6, rel. 44.6, (3 0 -2)

abc: 7.069 4.508 12.774
angles: 90.00 91.17 90.00
Space group P2_1/m (No. 11)
Unique sites:
Sm 0.012 0.250 0.210
Sm 0.382 0.250 0.414
Sm 0.488 0.250 0.122
Hf 0.038 0.750 0.415
Hf 0.144 0.750 0.043
Hf 0.336 0.250 0.713
Ru 0.192 0.750 0.608
Ru 0.224 0.250 0.934
Ru 0.298 0.750 0.259


3.
The following is a calculated powder XRD pattern of HfTa4Ru2. It was derived from a structure optimized by DFT (PBE), using λ = 1.5418 Å (Cu Kα).

Most intense lines, 15° ≤ 2θ ≤ 90°, sorted by position:
2θ 26.2, rel. 31.2, (1 1 0); 2θ 27.4, rel. 23.6, (0 0 4); 2θ 29.6, rel. 62.3, (1 1 2); 2θ 37.4, rel. 100.0, (2 0 0); 2θ 39.3, rel. 74.5, (1 0 5); 2θ 47.0, rel. 22.6, (2 0 4); 2θ 53.9, rel. 35.1, (2 2 0); 2θ 55.4, rel. 55.3, (2 1 5)

abc: 4.814 4.814 13.015
angles: 90.00 90.00 90.00
Space group I4/mmm (No. 139)
Unique sites:
Hf 0.000 0.000 0.000
Ta 0.000 0.000 0.207
Ta 0.000 0.500 0.000
Ru 0.000 0.000 0.389


4.
The following is a calculated powder XRD pattern of Tb2HfU2Ru5. It was derived from a structure optimized by DFT (PBE), using λ = 1.5418 Å (Cu Kα).

Most intense lines, 15° ≤ 2θ ≤ 90°, sorted by position:
2θ 18.9, rel. 16.1, (2 1 0); 2θ 26.8, rel. 22.6, (3 1 0); 2θ 35.2, rel. 34.8, (2 2 1); 2θ 36.3, rel. 24.6, (3 3 0); 2θ 37.2, rel. 100.0, (3 1 1); 2θ 40.2, rel. 24.3, (3 2 1); 2θ 43.0, rel. 19.6, (4 0 1); 2θ 52.0, rel. 16.3, (0 0 2)

abc: 10.513 10.513 3.516
angles: 90.00 90.00 90.00
Space group P4/mbm (No. 127)
Unique sites:
Tb 0.174 0.326 0.000
Hf 0.000 0.000 0.000
U 0.139 0.639 0.000
Ru 0.000 0.500 0.500
Ru 0.051 0.797 0.500


5.
The following is a calculated powder XRD pattern of HfTi3Ru4. It was derived from a structure optimized by DFT (PBE), using λ = 1.5418 Å (Cu Kα).

Most intense lines, 15° ≤ 2θ ≤ 90°, sorted by position:
2θ 20.1, rel. 7.4, (0 0 2); 2θ 36.7, rel. 6.4, (0 1 3); 2θ 40.8, rel. 100.0, (0 2 0); 2θ 40.9, rel. 19.7, (0 0 4); 2θ 59.1, rel. 19.4, (2 0 0); 2θ 74.3, rel. 19.5, (2 2 0); 2θ 74.4, rel. 19.0, (2 0 4); 2θ 88.5, rel. 8.3, (2 2 4)

abc: 3.124 4.426 8.831
angles: 90.00 90.00 90.00
Space group Pmmm (No. 47)
Unique sites:
Hf 0.000 0.000 0.000
Ti 0.000 0.000 0.500
Ti 0.000 0.500 0.256
Ru 0.500 0.000 0.258
Ru 0.500 0.500 0.000
Ru 0.500 0.500 0.500


6.
The following is a calculated powder XRD pattern of HfTi2Ru. It was derived from a structure optimized by DFT (PBE), using λ = 1.5418 Å (Cu Kα).

Most intense lines, 15° ≤ 2θ ≤ 90°, sorted by position:
2θ 25.2, rel. 21.1, (0 0 2); 2θ 28.7, rel. 27.7, (1 0 0); 2θ 38.6, rel. 100.0, (1 0 2); 2θ 41.1, rel. 44.0, (1 1 0); 2θ 48.8, rel. 15.0, (1 1 2); 2θ 59.5, rel. 14.4, (2 0 0); 2θ 68.2, rel. 15.7, (1 1 4); 2θ 73.2, rel. 29.1, (2 1 2)

abc: 3.107 3.107 7.058
angles: 90.00 90.00 90.00
Space group P4/mmm (No. 123)
Unique sites:
Hf 0.000 0.000 0.000
Ti 0.500 0.500 0.286
Ru 0.000 0.000 0.500


7.
The following is a calculated powder XRD pattern of Tm5HfRu6. It was derived from a structure optimized by DFT (PBE), using λ = 1.5418 Å (Cu Kα).

Most intense lines, 15° ≤ 2θ ≤ 90°, sorted by position:
2θ 26.8, rel. 5.8, (1 3 0); 2θ 38.2, rel. 100.0, (2 0 0); 2θ 38.3, rel. 19.8, (0 6 0); 2θ 54.9, rel. 6.9, (0 0 4); 2θ 55.2, rel. 13.6, (2 6 0); 2θ 68.9, rel. 13.8, (2 0 4); 2θ 69.1, rel. 27.6, (3 3 2); 2θ 81.6, rel. 8.7, (2 6 4)

abc: 4.710 14.113 6.689
angles: 90.00 90.00 90.00
Space group Cmmm (No. 65)
Unique sites:
Tm 0.000 0.000 0.000
Tm 0.000 0.333 0.500
Tm 0.000 0.334 0.000
Hf 0.000 0.000 0.500
Ru 0.000 0.162 0.255
Ru 0.000 0.500 0.260


8.
The following is a calculated powder XRD pattern of HfURu. It was derived from a structure optimized by DFT (PBE), using λ = 1.5418 Å (Cu Kα).

Most intense lines, 15° ≤ 2θ ≤ 90°, sorted by position:
2θ 31.7, rel. 52.9, (2 0 -2); 2θ 32.6, rel. 59.7, (2 0 1); 2θ 36.1, rel. 100.0, (1 1 -3); 2θ 39.0, rel. 72.9, (1 1 3); 2θ 44.2, rel. 51.9, (0 0 6); 2θ 53.6, rel. 67.2, (0 2 0); 2θ 66.3, rel. 24.7, (4 0 -4); 2θ 71.9, rel. 44.3, (3 1 5)

abc: 5.919 3.418 12.459
angles: 90.00 99.13 90.00
Space group Cm (No. 8)
Unique sites:
Hf 0.000 0.000 0.000
Hf 0.168 0.000 0.499
U 0.267 0.500 0.300
U 0.269 0.000 0.801
Ru 0.057 0.500 0.667
Ru 0.389 0.000 0.167